CaPm8: simulated powder diffractogram (Cu Kα X-rays), based on a cell relaxed with GGA-PBE.
Peak positions follow from Bragg's law for the DFT cell and can differ from measured ones.

Most intense lines, 2θ from 15° to 90°, low angle first:
2θ (°)	intensity
29.82	100.0
34.56	51.1
49.67	30.0
49.76	6.0
59.01	32.3
59.10	10.7
61.91	9.4
80.66	11.7
80.78	4.3
83.18	4.1
83.24	8.1
83.37	4.0

Structure:
```
CaPm8
1.0
6.359 0.000 0.000
3.179 5.509 0.000
0.016 0.008 8.979
Ca Pm
1 8
Direct
0.000 0.000 0.000
0.000 0.339 0.337
0.000 0.661 0.663
0.333 0.333 0.000
0.338 0.662 0.337
0.338 0.999 0.663
0.662 0.001 0.337
0.662 0.338 0.663
0.667 0.667 0.000
```

***

Ca2Pm2Pr3: simulated powder diffractogram (Cu Kα X-rays), based on a cell relaxed with GGA-PBE.
Peak positions follow from Bragg's law for the DFT cell and can differ from measured ones.

Most intense lines, 2θ from 15° to 90°, low angle first:
2θ (°)	intensity
29.21	99.8
29.34	100.0
33.60	33.2
34.10	67.5
48.65	23.4
48.77	11.8
48.99	24.0
57.33	12.8
57.57	14.7
57.94	13.9
58.15	42.6
60.87	14.6

Structure:
```
Ca2Pm2Pr3
1.0
5.885 -2.627 0.000
5.885 2.627 0.000
-1.232 0.000 8.350
Ca Pm Pr
2 2 3
Direct
0.142 0.142 0.428
0.858 0.858 0.572
0.284 0.284 0.869
0.716 0.716 0.131
0.000 0.000 0.000
0.429 0.429 0.269
0.571 0.571 0.731
```

***

CaPm14Pr: simulated powder diffractogram (Cu Kα X-rays), based on a cell relaxed with GGA-PBE.
Peak positions follow from Bragg's law for the DFT cell and can differ from measured ones.

Most intense lines, 2θ from 15° to 90°, low angle first:
2θ (°)	intensity
27.77	23.7
30.26	25.1
31.70	100.0
41.53	16.0
49.12	19.6
54.67	21.3
58.78	22.8
59.65	16.4
76.54	7.8
80.80	13.6
83.72	8.4
88.10	5.6

Structure:
```
CaPm14Pr
1.0
11.813 0.000 0.000
0.000 3.708 6.428
0.000 -3.708 6.428
Ca Pm Pr
1 14 1
Direct
0.000 0.000 0.000
0.000 0.003 0.498
0.000 0.498 0.003
0.249 0.333 0.333
0.252 0.831 0.831
0.253 0.338 0.831
0.253 0.831 0.338
0.500 0.000 0.000
0.500 0.000 0.500
0.500 0.500 0.000
0.500 0.500 0.500
0.747 0.338 0.831
0.747 0.831 0.338
0.748 0.831 0.831
0.751 0.333 0.333
0.000 0.498 0.498
```

***

CaPm10Pr4: simulated powder diffractogram (Cu Kα X-rays), based on a cell relaxed with GGA-PBE.
Peak positions follow from Bragg's law for the DFT cell and can differ from measured ones.

Most intense lines, 2θ from 15° to 90°, low angle first:
2θ (°)	intensity
23.95	29.9
27.34	60.8
29.69	24.8
30.44	100.0
31.37	86.2
32.33	23.9
33.22	28.0
39.85	34.0
43.58	26.5
56.42	21.4
64.96	24.5
86.51	21.1

Structure:
```
CaPm10Pr4
1.0
-5.874 5.874 3.922
5.874 -5.874 3.922
5.874 5.874 -3.922
Ca Pm Pr
1 10 4
Direct
0.000 0.000 0.000
0.075 0.288 0.787
0.250 0.750 0.500
0.288 0.075 0.787
0.288 0.501 0.213
0.499 0.712 0.787
0.501 0.288 0.213
0.712 0.499 0.787
0.712 0.925 0.213
0.750 0.250 0.500
0.925 0.712 0.213
0.233 0.233 0.466
0.233 0.767 0.000
0.767 0.233 0.000
0.767 0.767 0.534
```

***

Ca2PmPr6: simulated powder diffractogram (Cu Kα X-rays), based on a cell relaxed with GGA-PBE.
Peak positions follow from Bragg's law for the DFT cell and can differ from measured ones.

Most intense lines, 2θ from 15° to 90°, low angle first:
2θ (°)	intensity
16.24	27.0
26.77	37.2
28.84	100.0
29.71	35.6
30.35	51.4
34.04	90.5
35.60	16.4
49.19	22.1
53.00	17.9
58.86	12.8
58.95	12.7
60.84	23.7

Structure:
```
Ca2PmPr6
1.0
9.002 -5.459 0.000
9.002 5.459 0.000
-0.670 0.000 3.433
Ca Pm Pr
2 1 6
Direct
0.161 0.161 0.156
0.839 0.839 0.844
0.500 0.500 0.500
0.153 0.515 0.336
0.203 0.797 0.000
0.485 0.847 0.664
0.515 0.153 0.336
0.797 0.203 0.000
0.847 0.485 0.664
```

***

CaPm3Pr8: simulated powder diffractogram (Cu Kα X-rays), based on a cell relaxed with GGA-PBE.
Peak positions follow from Bragg's law for the DFT cell and can differ from measured ones.

Most intense lines, 2θ from 15° to 90°, low angle first:
2θ (°)	intensity
25.32	16.5
26.57	15.1
29.43	100.0
29.53	56.8
31.46	44.7
33.59	24.7
34.56	19.2
35.42	29.3
37.59	13.4
50.94	12.6
59.95	34.3
61.11	13.3

Structure:
```
CaPm3Pr8
1.0
9.410 -1.793 0.000
9.410 1.793 0.000
-3.341 0.000 12.993
Ca Pm Pr
1 3 8
Direct
0.000 0.000 0.000
0.471 0.471 0.737
0.639 0.639 0.649
0.827 0.827 0.095
0.149 0.149 0.412
0.322 0.322 0.331
0.490 0.490 0.254
0.660 0.660 0.912
0.662 0.662 0.176
0.813 0.813 0.568
0.816 0.816 0.824
0.982 0.982 0.494
```

***

Repeat the fourth record exactly.
CaPm10Pr4: simulated powder diffractogram (Cu Kα X-rays), based on a cell relaxed with GGA-PBE.
Peak positions follow from Bragg's law for the DFT cell and can differ from measured ones.

Most intense lines, 2θ from 15° to 90°, low angle first:
2θ (°)	intensity
23.95	29.9
27.34	60.8
29.69	24.8
30.44	100.0
31.37	86.2
32.33	23.9
33.22	28.0
39.85	34.0
43.58	26.5
56.42	21.4
64.96	24.5
86.51	21.1

Structure:
```
CaPm10Pr4
1.0
-5.874 5.874 3.922
5.874 -5.874 3.922
5.874 5.874 -3.922
Ca Pm Pr
1 10 4
Direct
0.000 0.000 0.000
0.075 0.288 0.787
0.250 0.750 0.500
0.288 0.075 0.787
0.288 0.501 0.213
0.499 0.712 0.787
0.501 0.288 0.213
0.712 0.499 0.787
0.712 0.925 0.213
0.750 0.250 0.500
0.925 0.712 0.213
0.233 0.233 0.466
0.233 0.767 0.000
0.767 0.233 0.000
0.767 0.767 0.534
```